No. 1
Structure and calculated X-ray powder pattern of ErNiGe2 (a structure optimized by DFT (PBE); Cu Kα X-rays).
No peak broadening, texture or thermal motion is included.

Atomic structure:
Cell: 9.2639 9.2639 9.2639 Å, 154.14 125.36 61.41°
Sites, in units of the cell vectors:
Er1 0.2040 0.2040 0.0000
Er2 0.2402 0.0000 0.2402
Er3 0.7598 0.0000 0.7598
Er4 0.7960 0.7960 0.0000
Ni1 0.1013 0.3523 0.7490
Ni2 0.3967 0.6477 0.7490
Ni3 0.6033 0.3523 0.2510
Ni4 0.8987 0.6477 0.2510
Ge1 0.0770 0.5770 0.5000
Ge2 0.1464 0.8039 0.3425
Ge3 0.4204 0.4204 0.0000
Ge4 0.4614 0.8039 0.6575
Ge5 0.5386 0.1961 0.3425
Ge6 0.5796 0.5796 0.0000
Ge7 0.8536 0.1961 0.6575
Ge8 0.9230 0.4230 0.5000

Largest 6 diffraction maxima, by angle, 2θ = 15–90°:
| Position (°2θ) | intensity |
| --- | --- |
| 30.64 | 29.6 |
| 34.62 | 82.7 |
| 35.54 | 100.0 |
| 40.04 | 33.0 |
| 40.17 | 32.1 |
| 43.67 | 44.4 |


No. 2
Structure and calculated X-ray powder pattern of Er3NiGe2 (a structure optimized by DFT (PBE); Cu Kα X-rays).
No peak broadening, texture or thermal motion is included.

Atomic structure:
Cell: 11.2658 4.1277 11.2080 Å, 90.00 90.00 90.00°
Sites, in units of the cell vectors:
Er1 0.0580 0.2500 0.1268
Er2 0.1179 0.7500 0.5586
Er3 0.2176 0.2500 0.8033
Er4 0.2824 0.7500 0.3033
Er5 0.3821 0.2500 0.0586
Er6 0.4420 0.7500 0.6268
Er7 0.5580 0.2500 0.3732
Er8 0.6179 0.7500 0.9414
Er9 0.7176 0.2500 0.6967
Er10 0.7824 0.7500 0.1967
Er11 0.8821 0.2500 0.4414
Er12 0.9420 0.7500 0.8732
Ni1 0.1305 0.2500 0.3665
Ni2 0.3695 0.7500 0.8665
Ni3 0.6305 0.2500 0.1335
Ni4 0.8695 0.7500 0.6335
Ge1 0.0195 0.7500 0.3122
Ge2 0.1928 0.7500 0.9972
Ge3 0.3072 0.2500 0.4972
Ge4 0.4805 0.2500 0.8122
Ge5 0.5195 0.7500 0.1878
Ge6 0.6928 0.7500 0.5028
Ge7 0.8072 0.2500 0.0028
Ge8 0.9805 0.2500 0.6878

Largest 6 diffraction maxima, by angle, 2θ = 15–90°:
| Position (°2θ) | intensity |
| --- | --- |
| 28.61 | 52.3 |
| 31.25 | 59.4 |
| 32.32 | 100.0 |
| 33.26 | 71.6 |
| 36.09 | 76.9 |
| 43.87 | 61.7 |


No. 3
Structure and calculated X-ray powder pattern of Er2NiGe6 (a structure optimized by DFT (PBE); Cu Kα X-rays).
No peak broadening, texture or thermal motion is included.

Atomic structure:
Cell: 4.0458 10.8604 10.8604 Å, 21.32 90.00 90.00°
Sites, in units of the cell vectors:
Er1 0.0000 0.0000 0.0000
Er2 0.0000 0.3371 0.3371
Ni1 0.5000 0.7792 0.7792
Ge1 0.0000 0.6043 0.6043
Ge2 0.0000 0.7217 0.7217
Ge3 0.5000 0.1034 0.1034
Ge4 0.5000 0.2216 0.2216
Ge5 0.5000 0.4616 0.4616
Ge6 0.5000 0.8867 0.8867

Largest 6 diffraction maxima, by angle, 2θ = 15–90°:
| Position (°2θ) | intensity |
| --- | --- |
| 33.56 | 38.3 |
| 33.87 | 100.0 |
| 37.95 | 23.8 |
| 44.80 | 23.1 |
| 45.13 | 22.6 |
| 57.41 | 22.3 |


No. 4
Structure and calculated X-ray powder pattern of ErNi5Ge3 (a structure optimized by DFT (PBE); Cu Kα X-rays).
No peak broadening, texture or thermal motion is included.

Atomic structure:
Cell: 19.0564 3.8444 6.8533 Å, 90.00 90.00 90.00°
Sites, in units of the cell vectors:
Er1 0.1455 0.2500 0.1215
Er2 0.3545 0.7500 0.6215
Er3 0.6455 0.2500 0.3785
Er4 0.8545 0.7500 0.8785
Ni1 0.0039 0.7500 0.1296
Ni2 0.0121 0.2500 0.3792
Ni3 0.1117 0.2500 0.6390
Ni4 0.2011 0.7500 0.8124
Ni5 0.2067 0.7500 0.4248
Ni6 0.2933 0.2500 0.9248
Ni7 0.2989 0.2500 0.3124
Ni8 0.3883 0.7500 0.1390
Ni9 0.4879 0.7500 0.8792
Ni10 0.4961 0.2500 0.6296
Ni11 0.5039 0.7500 0.3704
Ni12 0.5121 0.2500 0.1208
Ni13 0.6117 0.2500 0.8610
Ni14 0.7011 0.7500 0.6876
Ni15 0.7067 0.7500 0.0752
Ni16 0.7933 0.2500 0.5752
Ni17 0.7989 0.2500 0.1876
Ni18 0.8883 0.7500 0.3610
Ni19 0.9879 0.7500 0.6208
Ni20 0.9961 0.2500 0.8704
Ge1 0.0773 0.7500 0.8524
Ge2 0.0852 0.7500 0.4026
Ge3 0.2368 0.2500 0.6172
Ge4 0.2632 0.7500 0.1172
Ge5 0.4148 0.2500 0.9026
Ge6 0.4227 0.2500 0.3524
Ge7 0.5773 0.7500 0.6476
Ge8 0.5852 0.7500 0.0974
Ge9 0.7368 0.2500 0.8828
Ge10 0.7632 0.7500 0.3828
Ge11 0.9148 0.2500 0.5974
Ge12 0.9227 0.2500 0.1476

Largest 6 diffraction maxima, by angle, 2θ = 15–90°:
| Position (°2θ) | intensity |
| --- | --- |
| 35.43 | 36.8 |
| 36.70 | 23.0 |
| 37.92 | 100.0 |
| 44.77 | 21.9 |
| 47.29 | 44.2 |
| 50.68 | 22.0 |


No. 5
Structure and calculated X-ray powder pattern of ErNiGe2 (a structure optimized by DFT (PBE); Cu Kα X-rays).
No peak broadening, texture or thermal motion is included.

Atomic structure:
Cell: 8.5880 8.5880 4.1871 Å, 90.00 90.00 152.55°
Sites, in units of the cell vectors:
Er1 0.1083 0.8917 0.7500
Er2 0.8917 0.1083 0.2500
Ni1 0.3221 0.6779 0.7500
Ni2 0.6779 0.3221 0.2500
Ge1 0.2526 0.7474 0.2500
Ge2 0.4593 0.5407 0.7500
Ge3 0.5407 0.4593 0.2500
Ge4 0.7474 0.2526 0.7500

Largest 6 diffraction maxima, by angle, 2θ = 15–90°:
| Position (°2θ) | intensity |
| --- | --- |
| 31.09 | 15.7 |
| 34.71 | 100.0 |
| 38.88 | 19.8 |
| 43.21 | 20.4 |
| 44.47 | 18.8 |
| 56.60 | 14.2 |


No. 6
Structure and calculated X-ray powder pattern of Er2GeO5 (a structure optimized by DFT (PBE); Cu Kα X-rays).
No peak broadening, texture or thermal motion is included.

Atomic structure:
Cell: 9.2374 7.0045 6.7336 Å, 90.00 104.51 90.00°
Sites, in units of the cell vectors:
Er1 0.0277 0.1277 0.2291
Er2 0.0277 0.3723 0.7291
Er3 0.3644 0.1360 0.0422
Er4 0.3644 0.3640 0.5422
Er5 0.6356 0.6360 0.4578
Er6 0.6356 0.8640 0.9578
Er7 0.9723 0.6277 0.2709
Er8 0.9723 0.8723 0.7709
Ge1 0.3019 0.5929 0.0262
Ge2 0.3019 0.9071 0.5262
Ge3 0.6981 0.0929 0.4738
Ge4 0.6981 0.4071 0.9738
O1 0.1053 0.6375 0.9912
O2 0.1053 0.8625 0.4912
O3 0.1104 0.1147 0.9306
O4 0.1104 0.3853 0.4306
O5 0.2832 0.0869 0.3265
O6 0.2832 0.4131 0.8265
O7 0.3919 0.6982 0.4899
O8 0.3919 0.8018 0.9899
O9 0.3935 0.0653 0.7216
O10 0.3935 0.4347 0.2216
O11 0.6065 0.5653 0.7784
O12 0.6065 0.9347 0.2784
O13 0.6081 0.1982 0.0101
O14 0.6081 0.3018 0.5101
O15 0.7168 0.5869 0.1735
O16 0.7168 0.9131 0.6735
O17 0.8896 0.6147 0.5694
O18 0.8896 0.8853 0.0694
O19 0.8947 0.1375 0.5088
O20 0.8947 0.3625 0.0088

Largest 6 diffraction maxima, by angle, 2θ = 15–90°:
| Position (°2θ) | intensity |
| --- | --- |
| 28.94 | 54.8 |
| 29.60 | 54.7 |
| 29.98 | 70.0 |
| 31.78 | 100.0 |
| 33.27 | 60.8 |
| 48.15 | 52.0 |


No. 7
Structure and calculated X-ray powder pattern of Er2GeO5 (a structure optimized by DFT (PBE); Cu Kα X-rays).
No peak broadening, texture or thermal motion is included.

Atomic structure:
Cell: 8.0002 8.0002 11.2748 Å, 93.27 93.27 88.85°
Sites, in units of the cell vectors:
Er1 0.1280 0.8459 0.5717
Er2 0.1397 0.4978 0.7517
Er3 0.1541 0.8720 0.9283
Er4 0.2016 0.4942 0.0633
Er5 0.4942 0.2016 0.5633
Er6 0.4978 0.1397 0.2517
Er7 0.5022 0.8603 0.7483
Er8 0.5058 0.7984 0.4367
Er9 0.7984 0.5058 0.9367
Er10 0.8459 0.1280 0.0717
Er11 0.8603 0.5022 0.2483
Er12 0.8720 0.1541 0.4283
Ge1 0.1407 0.8593 0.2500
Ge2 0.2252 0.4359 0.4539
Ge3 0.4359 0.2252 0.9539
Ge4 0.5641 0.7748 0.0461
Ge5 0.7748 0.5641 0.5461
Ge6 0.8593 0.1407 0.7500
O1 0.0255 0.3779 0.3922
O2 0.0426 0.6224 0.9231
O3 0.0433 0.9404 0.3817
O4 0.0596 0.9567 0.1183
O5 0.0989 0.6422 0.2213
O6 0.2411 0.7589 0.7500
O7 0.2626 0.3579 0.6009
O8 0.2723 0.6514 0.4607
O9 0.3130 0.3832 0.8841
O10 0.3486 0.7277 0.0393
O11 0.3579 0.2626 0.1009
O12 0.3578 0.9011 0.2787
O13 0.3779 0.0255 0.8922
O14 0.3776 0.9574 0.5769
O15 0.3832 0.3130 0.3841
O16 0.6168 0.6870 0.6159
O17 0.6224 0.0426 0.4231
O18 0.6221 0.9745 0.1078
O19 0.6422 0.0989 0.7213
O20 0.6421 0.7374 0.8991
O21 0.6514 0.2723 0.9607
O22 0.6870 0.6168 0.1159
O23 0.7277 0.3486 0.5393
O24 0.7374 0.6421 0.3991
O25 0.7589 0.2411 0.2500
O26 0.9011 0.3578 0.7787
O27 0.9404 0.0433 0.8817
O28 0.9567 0.0596 0.6183
O29 0.9574 0.3776 0.0769
O30 0.9745 0.6221 0.6078

Largest 6 diffraction maxima, by angle, 2θ = 15–90°:
| Position (°2θ) | intensity |
| --- | --- |
| 15.82 | 32.2 |
| 24.76 | 73.5 |
| 28.67 | 100.0 |
| 33.20 | 36.1 |
| 33.67 | 43.5 |
| 35.89 | 34.0 |


No. 8
Structure and calculated X-ray powder pattern of Er4Ge6Os7 (a structure optimized by DFT (PBE); Cu Kα X-rays).
No peak broadening, texture or thermal motion is included.

Atomic structure:
Cell: 7.2241 7.2241 7.2241 Å, 109.47 109.47 109.47°
Sites, in units of the cell vectors:
Er1 0.0000 0.0000 0.5000
Er2 0.0000 0.5000 0.0000
Er3 0.5000 0.0000 0.0000
Er4 0.5000 0.5000 0.5000
Ge1 0.0000 0.3098 0.3098
Ge2 0.0000 0.6902 0.6902
Ge3 0.3098 0.0000 0.3098
Ge4 0.3098 0.3098 0.0000
Ge5 0.6902 0.0000 0.6902
Ge6 0.6902 0.6902 0.0000
Os1 0.0000 0.0000 0.0000
Os2 0.2500 0.5000 0.7500
Os3 0.2500 0.7500 0.5000
Os4 0.5000 0.2500 0.7500
Os5 0.5000 0.7500 0.2500
Os6 0.7500 0.2500 0.5000
Os7 0.7500 0.5000 0.2500

Largest 6 diffraction maxima, by angle, 2θ = 15–90°:
| Position (°2θ) | intensity |
| --- | --- |
| 26.17 | 23.0 |
| 37.34 | 100.0 |
| 40.46 | 36.6 |
| 43.39 | 69.3 |
| 63.04 | 40.6 |
| 75.62 | 31.0 |